(1)
# Pm2Tm4Th3
Simulated X-ray diffraction stick pattern, λ = 1.5418 Å (Cu Kα). Input: DFT lattice parameters and positions (GGA-PBE).
Intensities are scaled so that the largest is 1000.

Main lines, low angle first (5 to 70 degrees two-theta):
| 2θ (°) | d (Å) | intensity | hkl |
| --- | --- | --- | --- |
| 10.03 | 8.820 | 98 | 0 0 3 |
| 29.02 | 3.077 | 433 | 1 0 0 |
| 29.81 | 2.997 | 100 | 0 1 2 |
| 30.40 | 2.940 | 457 | 0 0 9 |
| 30.78 | 2.905 | 125 | 0 1 3 |
| 32.08 | 2.790 | 602 | 0 1 4 |
| 33.69 | 2.660 | 1000 | 1 0 5 |
| 42.53 | 2.126 | 280 | 1 0 9 |
| 51.44 | 1.776 | 359 | 1 1 0 |
| 57.20 | 1.610 | 313 | 0 1 14 |
| 60.93 | 1.520 | 389 | 1 1 9 |
| 62.91 | 1.477 | 169 | 0 2 5 |

Structure:
a b c (Å): 3.5530 3.5530 26.4598
angles (deg): 90.00 90.00 120.00
Space group P3m1 (No. 156)
Unique sites:
Pm 0.0000 0.0000 0.0000
Pm 0.0000 0.0000 0.2234
Tm 0.0000 0.0000 0.3508
Tm 0.0000 0.0000 0.5678
Tm 0.3333 0.6667 0.6724
Tm 0.3333 0.6667 0.8899
Th 0.0000 0.0000 0.7816
Th 0.3333 0.6667 0.1134
Th 0.3333 0.6667 0.4569



(2)
# PrGa2Au10
Simulated X-ray diffraction stick pattern, λ = 1.5418 Å (Cu Kα). Input: DFT lattice parameters and positions (GGA-PBE).
Intensities are scaled so that the largest is 1000.

Main lines, low angle first (5 to 70 degrees two-theta):
| 2θ (°) | d (Å) | intensity | hkl |
| --- | --- | --- | --- |
| 31.51 | 2.840 | 484 | 2 0 0 |
| 32.58 | 2.749 | 734 | 1 3 3 |
| 36.96 | 2.432 | 775 | 2 2 2 |
| 37.33 | 2.409 | 877 | 1 1 5 |
| 38.20 | 2.356 | 950 | 0 4 4 |
| 38.46 | 2.341 | 640 | 1 5 1 |
| 41.45 | 2.179 | 687 | 2 0 4 |
| 42.17 | 2.143 | 1000 | 2 4 0 |
| 42.30 | 2.137 | 298 | 1 3 5 |
| 43.60 | 2.076 | 251 | 0 6 2 |
| 59.99 | 1.542 | 305 | 3 1 5 |
| 68.24 | 1.374 | 446 | 2 6 6 |

Structure:
a b c (Å): 5.679 13.082 13.586
angles (deg): 90.00 90.00 90.00
Space group Fmmm (No. 69)
Unique sites:
Pr 0.000 0.000 0.000
Ga 0.250 0.000 0.250
Au 0.000 0.106 0.389
Au 0.000 0.163 0.173
Au 0.250 0.250 0.000



(3)
# MgNpMn
Simulated X-ray diffraction stick pattern, λ = 1.5418 Å (Cu Kα). Input: DFT lattice parameters and positions (GGA-PBE).
Intensities are scaled so that the largest is 1000.

Main lines, low angle first (5 to 70 degrees two-theta):
| 2θ (°) | d (Å) | intensity | hkl |
| --- | --- | --- | --- |
| 7.26 | 12.184 | 1000 | 0 0 1 |
| 30.88 | 2.896 | 93 | 1 1 0 |
| 31.41 | 2.848 | 28 | 1 1 -1 |
| 32.10 | 2.788 | 89 | 1 1 1 |
| 34.92 | 2.569 | 46 | 1 1 2 |
| 37.28 | 2.412 | 104 | 1 1 -3 |
| 39.04 | 2.307 | 50 | 1 1 3 |
| 41.99 | 2.152 | 107 | 0 2 0 |
| 42.63 | 2.121 | 35 | 0 2 1 |
| 44.62 | 2.031 | 41 | 0 0 6 |
| 47.61 | 1.910 | 26 | 1 1 -5 |
| 62.91 | 1.477 | 28 | 0 2 6 |

Structure:
a b c (Å): 3.920 4.307 12.208
angles (deg): 90.00 93.63 90.00
Space group C2/m (No. 12)
Unique sites:
Mg 0.228 0.000 0.395
Np 0.113 0.500 0.908
Mn 0.198 0.500 0.238



(4)
# PuTlCdSn
Simulated X-ray diffraction stick pattern, λ = 1.5418 Å (Cu Kα). Input: DFT lattice parameters and positions (GGA-PBE).
Intensities are scaled so that the largest is 1000.

Main lines, low angle first (5 to 70 degrees two-theta):
| 2θ (°) | d (Å) | intensity | hkl |
| --- | --- | --- | --- |
| 18.98 | 4.676 | 81 | 0 1 0 |
| 33.12 | 2.705 | 1000 | 1 1 1 |
| 36.55 | 2.459 | 192 | 0 0 2 |
| 38.51 | 2.338 | 167 | 0 2 0 |
| 40.15 | 2.246 | 149 | 2 0 0 |
| 54.13 | 1.694 | 126 | 0 2 2 |
| 55.41 | 1.658 | 118 | 2 0 2 |
| 56.85 | 1.620 | 109 | 2 2 0 |
| 63.62 | 1.463 | 156 | 1 1 3 |
| 66.26 | 1.411 | 138 | 1 3 1 |
| 68.52 | 1.370 | 126 | 3 1 1 |
| 69.50 | 1.353 | 121 | 2 2 2 |

Structure:
a b c (Å): 4.492 4.676 4.917
angles (deg): 90.00 90.00 90.00
Space group Pmmm (No. 47)
Unique sites:
Pu 0.000 0.000 0.000
Tl 0.500 0.000 0.500
Cd 0.000 0.500 0.500
Sn 0.500 0.500 0.000



(5)
# KErCd4
Simulated X-ray diffraction stick pattern, λ = 1.5418 Å (Cu Kα). Input: DFT lattice parameters and positions (GGA-PBE).
Intensities are scaled so that the largest is 1000.

Main lines, low angle first (5 to 70 degrees two-theta):
| 2θ (°) | d (Å) | intensity | hkl |
| --- | --- | --- | --- |
| 17.92 | 4.950 | 171 | 1 1 1 |
| 20.72 | 4.287 | 88 | 2 0 0 |
| 29.47 | 3.031 | 221 | 2 2 0 |
| 34.70 | 2.585 | 1000 | 3 1 1 |
| 36.30 | 2.475 | 449 | 2 2 2 |
| 42.16 | 2.143 | 62 | 4 0 0 |
| 46.15 | 1.967 | 43 | 3 3 1 |
| 47.42 | 1.917 | 47 | 4 2 0 |
| 52.27 | 1.750 | 87 | 4 2 2 |
| 55.71 | 1.650 | 330 | 3 3 3 |
| 61.15 | 1.516 | 273 | 4 4 0 |
| 69.32 | 1.356 | 37 | 6 2 0 |

Structure:
a b c (Å): 8.574 8.574 8.574
angles (deg): 90.00 90.00 90.00
Space group F-43m (No. 216)
Unique sites:
K 0.000 0.000 0.000
Er 0.250 0.250 0.250
Cd 0.125 0.125 0.625



(6)
# CaCeGeO5
Simulated X-ray diffraction stick pattern, λ = 1.5418 Å (Cu Kα). Input: DFT lattice parameters and positions (GGA-PBE).
Intensities are scaled so that the largest is 1000.

Main lines, low angle first (5 to 70 degrees two-theta):
| 2θ (°) | d (Å) | intensity | hkl |
| --- | --- | --- | --- |
| 16.46 | 5.386 | 482 | 1 1 0 |
| 25.16 | 3.540 | 1000 | 1 1 -2 |
| 27.28 | 3.269 | 662 | 2 0 0 |
| 30.96 | 2.888 | 673 | 0 2 2 |
| 31.38 | 2.850 | 713 | 1 3 0 |
| 33.57 | 2.670 | 235 | 1 1 2 |
| 35.10 | 2.557 | 212 | 2 2 -2 |
| 41.01 | 2.201 | 276 | 3 1 -2 |
| 47.63 | 1.909 | 368 | 2 0 -4 |
| 50.86 | 1.795 | 271 | 3 3 0 |
| 53.92 | 1.701 | 188 | 1 5 -2 |
| 55.52 | 1.655 | 211 | 1 3 -4 |

Structure:
a b c (Å): 7.007 9.502 7.796
angles (deg): 90.00 111.07 90.00
Space group C2/c (No. 15)
Unique sites:
Ca 0.000 0.160 0.250
Ce 0.000 0.500 0.000
Ge 0.000 0.178 0.750
O 0.000 0.403 0.250
O 0.129 0.288 0.642
O 0.162 0.058 0.914